Calculated powder diffraction line list of NbMoS4 for Cu Kα (weighted mean of Kα1 and Kα2), from a cell relaxed with PBE.

Top 10 peaks for 10° ≤ 2θ ≤ 80°, by angle:
2θ (°)	Rel. int.
13.9	100
31.7	29
32.8	27
36.7	12
36.8	24
39.4	26
39.5	13
46.1	17
55.9	20
57.9	14

Structural model:
```
data_NbMoS4
_chemical_formula_sum 'Nb1 Mo1 S4'
_cell_length_a 5.703
_cell_length_b 3.289
_cell_length_c 6.648
_cell_angle_alpha 90.00
_cell_angle_beta 106.81
_cell_angle_gamma 90.00
_space_group_name_H-M_alt 'P 1 m 1'
_space_group_IT_number 6
loop_
_space_group_symop_operation_xyz
'x,y,z'
'x,-y,z'
loop_
_atom_site_label
_atom_site_fract_x
_atom_site_fract_y
_atom_site_fract_z
Nb1 0.000 0.000 0.000
Mo1 0.508 0.500 0.000
S1 0.262 0.000 0.759
S2 0.424 0.000 0.242
S3 0.750 0.500 0.753
S4 0.917 0.500 0.248
```

Calculated powder diffraction line list of Li6SbS2 for Cu Kα (weighted mean of Kα1 and Kα2), from a cell relaxed with PBE.

Top 10 peaks for 10° ≤ 2θ ≤ 80°, by angle:
2θ (°)	Rel. int.
18.3	14
22.5	32
26.0	100
27.6	15
31.3	21
36.5	14
42.2	32
44.8	15
47.8	16
52.5	26

Structural model:
```
data_Li6SbS2
_chemical_formula_sum 'Li12 Sb2 S4'
_cell_length_a 4.044
_cell_length_b 4.044
_cell_length_c 19.411
_cell_angle_alpha 90.00
_cell_angle_beta 90.00
_cell_angle_gamma 90.00
_space_group_name_H-M_alt 'I 4/m m m'
_space_group_IT_number 139
_space_group_name_Hall '-I 4 2'
loop_
_atom_site_label
_atom_site_fract_x
_atom_site_fract_y
_atom_site_fract_z
Li1 0.000 0.500 0.102
Li2 0.000 0.500 0.250
Sb1 0.000 0.000 0.000
S1 0.000 0.000 0.324
```

Calculated powder diffraction line list of RbPdCl3 for Cu Kα (weighted mean of Kα1 and Kα2), from a cell relaxed with PBE.

Top 10 peaks for 10° ≤ 2θ ≤ 80°, by angle:
2θ (°)	Rel. int.
17.7	17
25.2	100
30.9	12
35.9	71
40.3	7
44.3	44
51.6	47
58.3	20
64.5	16
70.4	23

Structural model:
```
data_RbPdCl3
_chemical_formula_sum 'Rb1 Pd1 Cl3'
_cell_length_a 5.007
_cell_length_b 5.007
_cell_length_c 5.007
_cell_angle_alpha 90.00
_cell_angle_beta 90.00
_cell_angle_gamma 90.00
_space_group_name_H-M_alt 'P m -3 m'
_space_group_IT_number 221
_space_group_name_Hall '-P 4 2 3'
loop_
_atom_site_label
_atom_site_fract_x
_atom_site_fract_y
_atom_site_fract_z
Rb1 0.000 0.000 0.000
Pd1 0.500 0.500 0.500
Cl1 0.000 0.500 0.500
```

Calculated powder diffraction line list of Sr6FeC2N7 for Cu Kα (weighted mean of Kα1 and Kα2), from a cell relaxed with PBE.

Top 10 peaks for 10° ≤ 2θ ≤ 80°, by angle:
2θ (°)	Rel. int.
25.5	35
29.3	29
29.4	99
29.9	46
30.7	100
31.4	29
31.7	45
34.7	76
47.1	25
57.6	26

Structural model:
```
data_Sr6FeC2N7
_chemical_formula_sum 'Sr12 Fe2 C4 N14'
_cell_length_a 9.965
_cell_length_b 14.880
_cell_length_c 3.860
_cell_angle_alpha 90.00
_cell_angle_beta 90.00
_cell_angle_gamma 90.00
_space_group_name_H-M_alt 'P 21 21 2'
_space_group_IT_number 18
loop_
_space_group_symop_operation_xyz
'x,y,z'
'-x,-y,z'
'x+1/2,-y+1/2,-z'
'-x+1/2,y+1/2,-z'
loop_
_atom_site_label
_atom_site_fract_x
_atom_site_fract_y
_atom_site_fract_z
Sr1 0.070 0.110 0.056
Sr2 0.098 0.666 0.511
Sr3 0.245 0.943 0.557
Fe1 0.000 0.500 0.979
C1 0.226 0.281 0.819
N1 0.000 0.000 0.564
N2 0.131 0.251 0.642
N3 0.167 0.555 0.975
N4 0.172 0.808 0.031
```

Calculated powder diffraction line list of MgSc2S4 for Cu Kα (weighted mean of Kα1 and Kα2), from a cell relaxed with PBE.

Top 10 peaks for 10° ≤ 2θ ≤ 80°, by angle:
2θ (°)	Rel. int.
26.1	44
32.4	67
34.1	100
36.4	87
45.0	45
47.6	29
50.3	38
50.5	19
50.7	32
74.2	22

Structural model:
```
data_MgSc2S4
_chemical_formula_sum 'Mg8 Sc16 S32'
_cell_length_a 12.112
_cell_length_b 7.204
_cell_length_c 12.402
_cell_angle_alpha 90.00
_cell_angle_beta 90.00
_cell_angle_gamma 90.00
_space_group_name_H-M_alt 'P c a 21'
_space_group_IT_number 29
loop_
_space_group_symop_operation_xyz
'x,y,z'
'-x,-y,z+1/2'
'-x+1/2,y,z+1/2'
'x+1/2,-y,z'
loop_
_atom_site_label
_atom_site_fract_x
_atom_site_fract_y
_atom_site_fract_z
Mg1 0.109 0.121 0.000
Mg2 0.126 0.622 0.636
Sc1 0.108 0.619 0.000
Sc2 0.128 0.120 0.639
Sc3 0.132 0.371 0.303
Sc4 0.133 0.872 0.302
S1 0.016 0.628 0.188
S2 0.018 0.121 0.187
S3 0.037 0.623 0.445
S4 0.038 0.130 0.445
S5 0.216 0.620 0.823
S6 0.217 0.121 0.825
S7 0.230 0.372 0.092
S8 0.232 0.870 0.091
```

Calculated powder diffraction line list of Rb3EuCl6 for Cu Kα (weighted mean of Kα1 and Kα2), from a cell relaxed with PBE.

Top 10 peaks for 10° ≤ 2θ ≤ 80°, by angle:
2θ (°)	Rel. int.
13.2	14
15.2	20
21.6	100
30.8	70
37.9	47
44.1	48
49.6	24
54.7	16
59.5	27
72.7	20

Structural model:
```
data_Rb3EuCl6
_chemical_formula_sum 'Rb12 Eu4 Cl24'
_cell_length_a 11.628
_cell_length_b 11.628
_cell_length_c 11.628
_cell_angle_alpha 90.00
_cell_angle_beta 90.00
_cell_angle_gamma 90.00
_space_group_name_H-M_alt 'F m -3 m'
_space_group_IT_number 225
_space_group_name_Hall '-F 4 2 3'
loop_
_atom_site_label
_atom_site_fract_x
_atom_site_fract_y
_atom_site_fract_z
Rb1 0.000 0.000 0.000
Rb2 0.250 0.250 0.250
Eu1 0.000 0.000 0.500
Cl1 0.000 0.000 0.267
```

Calculated powder diffraction line list of AgAsSe2 for Cu Kα (weighted mean of Kα1 and Kα2), from a cell relaxed with PBE.

Top 10 peaks for 10° ≤ 2θ ≤ 80°, by angle:
2θ (°)	Rel. int.
26.6	2
32.0	100
34.8	2
45.4	36
46.3	35
55.9	6
57.3	18
66.8	11
75.4	15
76.6	15

Structural model:
```
data_AgAsSe2
_chemical_formula_sum 'Ag3 As3 Se6'
_cell_length_a 3.9254
_cell_length_b 3.9254
_cell_length_c 19.7304
_cell_angle_alpha 90.00
_cell_angle_beta 90.00
_cell_angle_gamma 120.00
_space_group_name_H-M_alt 'R -3 m'
_space_group_IT_number 166
_space_group_name_Hall '-R 3 2"'
loop_
_atom_site_label
_atom_site_fract_x
_atom_site_fract_y
_atom_site_fract_z
Ag1 0.0000 0.0000 0.0000
As1 0.0000 0.0000 0.5000
Se1 0.0000 0.0000 0.2453
```

Calculated powder diffraction line list of K2CuSbF6 for Cu Kα (weighted mean of Kα1 and Kα2), from a cell relaxed with PBE.

Top 10 peaks for 10° ≤ 2θ ≤ 80°, by angle:
2θ (°)	Rel. int.
17.4	11
20.1	48
28.6	100
40.9	52
46.0	22
50.6	39
59.2	30
63.2	10
67.0	16
74.4	9

Structural model:
```
data_K2CuSbF6
_chemical_formula_sum 'K8 Cu4 Sb4 F24'
_cell_length_a 8.831
_cell_length_b 8.831
_cell_length_c 8.831
_cell_angle_alpha 90.00
_cell_angle_beta 90.00
_cell_angle_gamma 90.00
_space_group_name_H-M_alt 'F m -3 m'
_space_group_IT_number 225
_space_group_name_Hall '-F 4 2 3'
loop_
_atom_site_label
_atom_site_fract_x
_atom_site_fract_y
_atom_site_fract_z
K1 0.250 0.250 0.250
Cu1 0.000 0.000 0.000
Sb1 0.000 0.000 0.500
F1 0.000 0.000 0.250
```

Calculated powder diffraction line list of Sm3Ge13Ru4 for Cu Kα (weighted mean of Kα1 and Kα2), from a cell relaxed with PBE.

Top 10 peaks for 10° ≤ 2θ ≤ 80°, by angle:
2θ (°)	Rel. int.
21.8	15
34.1	21
35.6	100
37.0	37
39.6	36
40.9	12
49.0	22
59.2	14
63.0	15
68.4	19

Structural model:
```
data_Sm3Ge13Ru4
_chemical_formula_sum 'Sm6 Ge26 Ru8'
_cell_length_a 9.099
_cell_length_b 9.099
_cell_length_c 9.099
_cell_angle_alpha 90.00
_cell_angle_beta 90.00
_cell_angle_gamma 90.00
_space_group_name_H-M_alt 'P m -3 n'
_space_group_IT_number 223
_space_group_name_Hall '-P 4n 2 3'
loop_
_atom_site_label
_atom_site_fract_x
_atom_site_fract_y
_atom_site_fract_z
Sm1 0.000 0.250 0.500
Ge1 0.000 0.000 0.000
Ge2 0.000 0.296 0.146
Ru1 0.250 0.250 0.250
```